This entry pairs a crystal structure of AlFeF6 with its simulated PXRD pattern. Radiation: λ = 1.5418 Å (Cu Kα). Structure: a structure optimized by DFT (PBE+U).
Kinematic intensities with the Lorentz-polarization factor, no thermal factor.

Structural model:
Cell: 4.895 4.895 8.948 Å, 90.00 90.00 120.00°
Sites, in units of the cell vectors:
Al  0.000  0.000  0.000
Al  0.000  0.000  0.500
Fe  0.333  0.667  0.250
Fe  0.667  0.333  0.750
F  0.040  0.323  0.118
F  0.040  0.716  0.382
F  0.284  0.323  0.382
F  0.284  0.960  0.118
F  0.323  0.040  0.618
F  0.323  0.284  0.882
F  0.677  0.716  0.118
F  0.677  0.960  0.382
F  0.716  0.040  0.882
F  0.716  0.677  0.618
F  0.960  0.284  0.618
F  0.960  0.677  0.882

Main lines, low angle first (15 to 90 degrees two-theta):
| two_theta | Rel. int. |
| --- | --- |
| 23.2 | 100.0 |
| 29.0 | 51.4 |
| 36.8 | 13.4 |
| 42.1 | 51.2 |
| 47.5 | 11.1 |
| 53.0 | 14.8 |
| 55.7 | 45.3 |
| 58.5 | 11.9 |
| 61.5 | 12.5 |
| 66.2 | 23.5 |

This entry pairs a crystal structure of Al2Fe3F15 with its simulated PXRD pattern. Radiation: λ = 1.5418 Å (Cu Kα). Structure: a structure optimized by DFT (PBE+U).
Kinematic intensities with the Lorentz-polarization factor, no thermal factor.

Structural model:
Cell: 5.226 5.226 10.835 Å, 101.06 101.06 72.57°
Sites, in units of the cell vectors:
Al  0.142  0.142  0.153
Al  0.858  0.858  0.847
Fe  0.124  0.124  0.626
Fe  0.500  0.500  0.000
Fe  0.876  0.876  0.374
F  0.000  0.000  0.000
F  0.047  0.047  0.774
F  0.175  0.586  0.868
F  0.199  0.801  0.500
F  0.265  0.265  0.304
F  0.315  0.315  0.077
F  0.331  0.331  0.621
F  0.414  0.825  0.132
F  0.586  0.175  0.868
F  0.669  0.669  0.379
F  0.685  0.685  0.923
F  0.735  0.735  0.696
F  0.801  0.199  0.500
F  0.825  0.414  0.132
F  0.953  0.953  0.226

Main lines, low angle first (15 to 90 degrees two-theta):
| two_theta | Rel. int. |
| --- | --- |
| 18.0 | 27.5 |
| 18.7 | 52.2 |
| 24.2 | 100.0 |
| 26.5 | 93.6 |
| 28.9 | 71.2 |
| 38.7 | 30.0 |
| 38.8 | 45.4 |
| 49.5 | 31.9 |
| 49.7 | 30.5 |
| 58.3 | 21.6 |